For Li2PuH6, a DFT-relaxed cell (PBE, Alexandria) gives the theoretical XRD peak list in this record (Cu Kα X-rays).

Crystal structure
```
data_Li2PuH6
_symmetry_space_group_name_H-M 'F m -3 m'
_symmetry_Int_Tables_number 225
_symmetry_space_group_name_Hall '-F 4 2 3'
_cell_length_a 7.6446
_cell_length_b 7.6446
_cell_length_c 7.6446
_cell_angle_alpha 90.00
_cell_angle_beta 90.00
_cell_angle_gamma 90.00
loop_
_atom_site_label
_atom_site_type_symbol
_atom_site_fract_x
_atom_site_fract_y
_atom_site_fract_z
Li1 Li 0.2500 0.2500 0.2500
Pu1 Pu 0.0000 0.0000 0.0000
H1 H 0.0000 0.0000 0.2738
```

Most intense lines, 5° ≤ 2θ ≤ 70°, low angle first:
20.12 deg, d = 4.414 Å, I = 100, hkl 1 1 1; 23.27 deg, d = 3.822 Å, I = 51, hkl 2 0 0; 33.15 deg, d = 2.703 Å, I = 48, hkl 2 2 0; 39.08 deg, d = 2.305 Å, I = 58, hkl 3 1 1; 40.89 deg, d = 2.207 Å, I = 15, hkl 2 2 2; 47.58 deg, d = 1.911 Å, I = 10, hkl 4 0 0; 52.15 deg, d = 1.754 Å, I = 26, hkl 3 3 1; 53.61 deg, d = 1.709 Å, I = 22, hkl 4 2 0; 59.21 deg, d = 1.560 Å, I = 19, hkl 4 2 2; 63.20 deg, d = 1.471 Å, I = 20, hkl 3 3 3

For Tm6PtSe4, a DFT-relaxed cell (PBE, Alexandria) gives the theoretical XRD peak list in this record (Cu Kα X-rays).

Crystal structure
```
data_Tm6PtSe4
_symmetry_space_group_name_H-M 'C m c m'
_symmetry_Int_Tables_number 63
_symmetry_space_group_name_Hall '-C 2c 2'
_cell_length_a 3.9149
_cell_length_b 13.1518
_cell_length_c 20.4590
_cell_angle_alpha 90.00
_cell_angle_beta 90.00
_cell_angle_gamma 90.00
loop_
_atom_site_label
_atom_site_type_symbol
_atom_site_fract_x
_atom_site_fract_y
_atom_site_fract_z
Tm1 Tm 0.0000 0.0000 0.0000
Tm2 Tm 0.0000 0.1766 0.2500
Tm3 Tm 0.0000 0.2695 0.5985
Tm4 Tm 0.0000 0.4354 0.1694
Pt1 Pt 0.0000 0.1685 0.7500
Se1 Se 0.0000 0.0818 0.1249
Se2 Se 0.0000 0.3566 0.0365
```

Most intense lines, 5° ≤ 2θ ≤ 70°, low angle first:
29.51 deg, d = 3.027 Å, I = 100, hkl 0 2 6; 30.93 deg, d = 2.891 Å, I = 60, hkl 1 3 1; 31.87 deg, d = 2.808 Å, I = 100, hkl 1 3 2; 33.38 deg, d = 2.684 Å, I = 34, hkl 1 3 3; 39.07 deg, d = 2.306 Å, I = 27, hkl 1 1 7; 42.79 deg, d = 2.113 Å, I = 36, hkl 1 1 8; 44.99 deg, d = 2.015 Å, I = 37, hkl 0 6 4; 45.15 deg, d = 2.008 Å, I = 27, hkl 1 5 4; 46.39 deg, d = 1.957 Å, I = 36, hkl 2 0 0; 55.94 deg, d = 1.644 Å, I = 28, hkl 2 2 6

For MgH3Ir2, a DFT-relaxed cell (PBE, Alexandria) gives the theoretical XRD peak list in this record (Cu Kα X-rays).

Crystal structure
```
data_MgH3Ir2
_symmetry_space_group_name_H-M 'P 1'
_symmetry_Int_Tables_number 1
_symmetry_space_group_name_Hall 'P 1'
_cell_length_a 2.7816
_cell_length_b 4.1592
_cell_length_c 5.3928
_cell_angle_alpha 92.77
_cell_angle_beta 104.86
_cell_angle_gamma 90.05
loop_
_atom_site_label
_atom_site_type_symbol
_atom_site_fract_x
_atom_site_fract_y
_atom_site_fract_z
Mg1 Mg 0.0000 0.0000 0.0000
H1 H 0.0445 0.5053 0.0833
H2 H 0.3654 0.7404 0.7279
H3 H 0.8295 0.2766 0.6543
Ir1 Ir 0.2696 0.0359 0.5359
Ir2 Ir 0.6493 0.5319 0.2943
```

Most intense lines, 5° ≤ 2θ ≤ 70°, low angle first:
17.03 deg, d = 5.206 Å, I = 100, hkl 0 0 1; 26.78 deg, d = 3.329 Å, I = 32, hkl 0 1 -1; 28.15 deg, d = 3.170 Å, I = 32, hkl 0 1 1; 39.71 deg, d = 2.270 Å, I = 52, hkl 1 1 -1; 39.94 deg, d = 2.257 Å, I = 31, hkl 0 1 -2; 40.20 deg, d = 2.243 Å, I = 47, hkl 1 1 0; 41.61 deg, d = 2.170 Å, I = 45, hkl 1 0 1; 41.87 deg, d = 2.157 Å, I = 27, hkl 0 1 2; 43.58 deg, d = 2.077 Å, I = 24, hkl 0 2 0; 55.09 deg, d = 1.667 Å, I = 19, hkl 1 0 2

For TaTcAs2Br, a DFT-relaxed cell (PBE, Alexandria) gives the theoretical XRD peak list in this record (Cu Kα X-rays).

Crystal structure
```
data_TaTcAs2Br
_symmetry_space_group_name_H-M 'P 4/m m m'
_symmetry_Int_Tables_number 123
_symmetry_space_group_name_Hall '-P 4 2'
_cell_length_a 5.0230
_cell_length_b 5.0230
_cell_length_c 5.0913
_cell_angle_alpha 90.00
_cell_angle_beta 90.00
_cell_angle_gamma 90.00
loop_
_atom_site_label
_atom_site_type_symbol
_atom_site_fract_x
_atom_site_fract_y
_atom_site_fract_z
Ta1 Ta 0.0000 0.0000 0.0000
Tc1 Tc 0.5000 0.5000 0.5000
As1 As 0.0000 0.5000 0.0000
Br1 Br 0.0000 0.0000 0.5000
```

Most intense lines, 5° ≤ 2θ ≤ 70°, low angle first:
17.66 deg, d = 5.023 Å, I = 54, hkl 1 0 0; 24.90 deg, d = 3.576 Å, I = 74, hkl 1 0 1; 25.07 deg, d = 3.552 Å, I = 40, hkl 1 1 0; 30.69 deg, d = 2.913 Å, I = 29, hkl 1 1 1; 35.26 deg, d = 2.546 Å, I = 52, hkl 0 0 2; 35.75 deg, d = 2.511 Å, I = 100, hkl 2 0 0; 44.06 deg, d = 2.055 Å, I = 33, hkl 2 1 1; 51.09 deg, d = 1.788 Å, I = 72, hkl 2 0 2; 51.46 deg, d = 1.776 Å, I = 35, hkl 2 2 0; 63.92 deg, d = 1.456 Å, I = 36, hkl 2 2 2

For SiGeAs3, a DFT-relaxed cell (PBE, Alexandria) gives the theoretical XRD peak list in this record (Cu Kα X-rays).

Crystal structure
```
data_SiGeAs3
_symmetry_space_group_name_H-M 'C 1 2/m 1'
_symmetry_Int_Tables_number 12
_symmetry_space_group_name_Hall '-C 2y'
_cell_length_a 12.3114
_cell_length_b 3.7461
_cell_length_c 10.1051
_cell_angle_alpha 90.00
_cell_angle_beta 93.56
_cell_angle_gamma 90.00
loop_
_atom_site_label
_atom_site_type_symbol
_atom_site_fract_x
_atom_site_fract_y
_atom_site_fract_z
Si1 Si 0.0365 0.0000 0.2056
Ge1 Ge 0.1756 0.5000 0.6208
As1 As 0.0901 0.5000 0.0697
As2 As 0.1259 0.0000 0.4245
As3 As 0.1580 0.0000 0.7857
```

Most intense lines, 5° ≤ 2θ ≤ 70°, low angle first:
17.36 deg, d = 5.108 Å, I = 31, hkl 2 0 1; 29.07 deg, d = 3.072 Å, I = 32, hkl 4 0 0; 29.87 deg, d = 2.991 Å, I = 30, hkl 4 0 -1; 30.34 deg, d = 2.946 Å, I = 100, hkl 1 1 -2; 30.91 deg, d = 2.893 Å, I = 26, hkl 4 0 1; 31.11 deg, d = 2.875 Å, I = 22, hkl 2 0 3; 37.00 deg, d = 2.430 Å, I = 42, hkl 1 1 3; 44.55 deg, d = 2.034 Å, I = 24, hkl 5 1 -1; 47.80 deg, d = 1.903 Å, I = 24, hkl 3 1 -4; 48.61 deg, d = 1.873 Å, I = 25, hkl 0 2 0

For LiCuP2O6, a DFT-relaxed cell (PBE, Alexandria) gives the theoretical XRD peak list in this record (Cu Kα X-rays).

Crystal structure
```
data_LiCuP2O6
_symmetry_space_group_name_H-M 'C 2 2 2'
_symmetry_Int_Tables_number 21
_symmetry_space_group_name_Hall 'C 2 2'
_cell_length_a 5.0470
_cell_length_b 9.4654
_cell_length_c 5.6533
_cell_angle_alpha 90.00
_cell_angle_beta 90.00
_cell_angle_gamma 90.00
loop_
_atom_site_label
_atom_site_type_symbol
_atom_site_fract_x
_atom_site_fract_y
_atom_site_fract_z
Li1 Li 0.0000 0.0000 0.0000
Cu1 Cu 0.0000 0.5000 0.0000
P1 P 0.2500 0.2500 0.3290
O1 O 0.0000 0.2671 0.5000
O2 O 0.2247 0.1139 0.1941
```

Most intense lines, 5° ≤ 2θ ≤ 70°, low angle first:
19.94 deg, d = 4.453 Å, I = 24, hkl 1 1 0; 24.53 deg, d = 3.629 Å, I = 86, hkl 0 2 1; 25.46 deg, d = 3.498 Å, I = 100, hkl 1 1 1; 37.18 deg, d = 2.418 Å, I = 16, hkl 1 3 1; 37.69 deg, d = 2.387 Å, I = 16, hkl 1 1 2; 43.69 deg, d = 2.072 Å, I = 10, hkl 2 2 1; 46.75 deg, d = 1.943 Å, I = 13, hkl 1 3 2; 48.35 deg, d = 1.883 Å, I = 21, hkl 2 0 2; 63.08 deg, d = 1.474 Å, I = 11, hkl 0 4 3; 64.81 deg, d = 1.438 Å, I = 14, hkl 2 2 3

For Y7IrS5, a DFT-relaxed cell (PBE, Alexandria) gives the theoretical XRD peak list in this record (Cu Kα X-rays).

Crystal structure
```
data_Y7IrS5
_symmetry_space_group_name_H-M 'C m c 21'
_symmetry_Int_Tables_number 36
_symmetry_space_group_name_Hall 'C 2c -2'
_cell_length_a 3.8634
_cell_length_b 12.9376
_cell_length_c 23.5673
_cell_angle_alpha 90.00
_cell_angle_beta 90.00
_cell_angle_gamma 90.00
loop_
_atom_site_label
_atom_site_type_symbol
_atom_site_fract_x
_atom_site_fract_y
_atom_site_fract_z
Y1 Y 0.0000 0.0382 0.0000
Y2 Y 0.0000 0.1324 0.7157
Y3 Y 0.0000 0.1454 0.2878
Y4 Y 0.0000 0.2984 0.9299
Y5 Y 0.0000 0.3097 0.0722
Y6 Y 0.0000 0.4009 0.6353
Y7 Y 0.0000 0.4175 0.3592
Ir1 Ir 0.0000 0.3058 0.5075
S1 S 0.0000 0.0459 0.6100
S2 S 0.0000 0.0567 0.3926
S3 S 0.0000 0.2180 0.8224
S4 S 0.0000 0.2302 0.1801
S5 S 0.0000 0.4916 0.7491
```

Most intense lines, 5° ≤ 2θ ≤ 70°, low angle first:
7.50 deg, d = 11.784 Å, I = 39, hkl 0 0 2; 29.92 deg, d = 2.987 Å, I = 84, hkl 0 2 7; 30.71 deg, d = 2.911 Å, I = 30, hkl 1 1 5; 32.02 deg, d = 2.795 Å, I = 100, hkl 1 3 2; 33.16 deg, d = 2.702 Å, I = 58, hkl 1 3 3; 36.06 deg, d = 2.491 Å, I = 20, hkl 1 1 7; 42.27 deg, d = 2.138 Å, I = 36, hkl 1 1 9; 46.30 deg, d = 1.961 Å, I = 25, hkl 0 6 5; 47.04 deg, d = 1.932 Å, I = 29, hkl 2 0 0; 56.75 deg, d = 1.622 Å, I = 36, hkl 2 2 7

For Ce6ZrN8, a DFT-relaxed cell (PBE, Alexandria) gives the theoretical XRD peak list in this record (Cu Kα X-rays).

Crystal structure
```
data_Ce6ZrN8
_symmetry_space_group_name_H-M 'F m -3 m'
_symmetry_Int_Tables_number 225
_symmetry_space_group_name_Hall '-F 4 2 3'
_cell_length_a 9.9329
_cell_length_b 9.9329
_cell_length_c 9.9329
_cell_angle_alpha 90.00
_cell_angle_beta 90.00
_cell_angle_gamma 90.00
loop_
_atom_site_label
_atom_site_type_symbol
_atom_site_fract_x
_atom_site_fract_y
_atom_site_fract_z
Ce1 Ce 0.0000 0.2500 0.2500
Zr1 Zr 0.0000 0.0000 0.0000
N1 N 0.0000 0.0000 0.2261
N2 N 0.2500 0.2500 0.2500
```

Most intense lines, 5° ≤ 2θ ≤ 70°, low angle first:
15.45 deg, d = 5.735 Å, I = 10, hkl 1 1 1; 17.86 deg, d = 4.966 Å, I = 15, hkl 2 0 0; 25.36 deg, d = 3.512 Å, I = 13, hkl 2 2 0; 31.19 deg, d = 2.867 Å, I = 100, hkl 2 2 2; 36.17 deg, d = 2.483 Å, I = 80, hkl 4 0 0; 40.62 deg, d = 2.221 Å, I = 8, hkl 4 2 0; 44.69 deg, d = 2.028 Å, I = 6, hkl 4 2 2; 52.09 deg, d = 1.756 Å, I = 54, hkl 4 4 0; 61.97 deg, d = 1.497 Å, I = 45, hkl 6 2 2; 65.06 deg, d = 1.434 Å, I = 18, hkl 4 4 4